[1]
Theoretical powder diffraction line list of LiV4Ru5 for Cu Kα, 1.54184 Å, from a structure optimized by DFT (PBE).

The 8 most intense peaks (2θ = 15–90°), by angle:
29.79 deg, intensity 17
29.92 deg, intensity 9
42.70 deg, intensity 100
52.96 deg, intensity 7
61.88 deg, intensity 11
70.21 deg, intensity 6
78.12 deg, intensity 21
78.31 deg, intensity 10

Structure:
Cell lengths 2.999, 2.999, 14.932 Å; angles 90.00, 90.00, 90.00 degrees
Fractional positions:
Li 0.000 0.000 0.000
V 0.000 0.000 0.188
V 0.000 0.000 0.396
V 0.000 0.000 0.604
V 0.000 0.000 0.812
Ru 0.500 0.500 0.101
Ru 0.500 0.500 0.299
Ru 0.500 0.500 0.500
Ru 0.500 0.500 0.701
Ru 0.500 0.500 0.899

=====

[2]
Theoretical powder diffraction line list of Tb7ErTl4 for Cu Kα, 1.54184 Å, from a structure optimized by DFT (PBE).

The 8 most intense peaks (2θ = 15–90°), by angle:
29.52 deg, intensity 46
30.01 deg, intensity 40
30.82 deg, intensity 100
31.67 deg, intensity 29
32.14 deg, intensity 56
32.92 deg, intensity 24
34.62 deg, intensity 82
43.20 deg, intensity 33

Structure:
Cell lengths 8.020, 8.020, 9.819 Å; angles 119.25, 119.25, 42.41 degrees
Fractional positions:
Tb 0.000 0.000 0.000
Tb 0.242 0.242 0.694
Tb 0.296 0.296 0.120
Tb 0.433 0.433 0.595
Tb 0.567 0.567 0.405
Tb 0.704 0.704 0.880
Tb 0.758 0.758 0.306
Er 0.500 0.500 0.000
Tl 0.048 0.048 0.713
Tl 0.185 0.185 0.337
Tl 0.815 0.815 0.663
Tl 0.952 0.952 0.287

=====

[3]
Theoretical powder diffraction line list of Sr5P3BrO12 for Cu Kα, 1.54184 Å, from a structure optimized by DFT (PBE).

The 8 most intense peaks (2θ = 15–90°), by angle:
29.62 deg, intensity 69
30.31 deg, intensity 100
30.56 deg, intensity 68
43.58 deg, intensity 42
46.48 deg, intensity 20
46.84 deg, intensity 18
47.48 deg, intensity 21
60.05 deg, intensity 27

Structure:
Cell lengths 10.132, 10.132, 7.253 Å; angles 90.00, 90.00, 120.00 degrees
Fractional positions:
Sr 0.001 0.261 0.250
Sr 0.260 0.999 0.250
Sr 0.261 0.260 0.750
Sr 0.333 0.667 0.002
Sr 0.333 0.667 0.498
Sr 0.667 0.333 0.502
Sr 0.667 0.333 0.998
Sr 0.739 0.740 0.250
Sr 0.740 0.001 0.750
Sr 0.999 0.739 0.750
P 0.036 0.409 0.750
P 0.373 0.964 0.750
P 0.409 0.373 0.250
P 0.591 0.627 0.750
P 0.627 0.036 0.250
P 0.964 0.591 0.250
Br 0.000 0.000 0.000
Br 0.000 0.000 0.500
O 0.089 0.358 0.576
O 0.089 0.358 0.924
O 0.124 0.588 0.750
O 0.140 0.655 0.250
O 0.269 0.911 0.576
O 0.269 0.911 0.924
O 0.345 0.485 0.250
O 0.358 0.269 0.076
O 0.358 0.269 0.424
O 0.412 0.537 0.750
O 0.463 0.876 0.750
O 0.485 0.140 0.750
O 0.515 0.860 0.250
O 0.537 0.124 0.250
O 0.588 0.463 0.250
O 0.642 0.731 0.576
O 0.642 0.731 0.924
O 0.655 0.515 0.750
O 0.731 0.089 0.076
O 0.731 0.089 0.424
O 0.860 0.345 0.750
O 0.876 0.412 0.250
O 0.911 0.642 0.076
O 0.911 0.642 0.424